Starting from a cell relaxed with GGA-PBE, the XRD peak list of MgTaH4 was computed for CuKα.
No peak broadening, texture or thermal motion is included.

The 10 most intense peaks (2θ = 15–90°), by angle:
| Position (°2θ) | Rel. int. |
| --- | --- |
| 21.58 | 87 |
| 34.11 | 100 |
| 36.61 | 23 |
| 38.45 | 34 |
| 41.80 | 14 |
| 44.51 | 27 |
| 54.14 | 15 |
| 55.50 | 13 |
| 58.08 | 23 |
| 66.77 | 29 |

Cell and atoms:
a = 5.4452 Å, b = 5.4452 Å, c = 5.4452 Å
α = 129.06°, β = 129.06°, γ = 74.91°
Fractional positions:
Mg1 0.3750 0.6250 0.7500
Mg2 0.6250 0.3750 0.2500
Ta1 0.1250 0.8750 0.2500
Ta2 0.8750 0.1250 0.7500
H1 0.0000 0.2383 0.2383
H2 0.0000 0.7617 0.7617
H3 0.2383 0.0000 0.7383
H4 0.2383 0.5000 0.2383
H5 0.5000 0.2383 0.7383
H6 0.5000 0.7617 0.2617
H7 0.7617 0.0000 0.2617
H8 0.7617 0.5000 0.7617